(1)
Computed XRD peak list of BePdS for copper Kα, from a PBE-relaxed structure.

The 8 most intense peaks (2θ from 15° to 90°), most intense first:
2.934 Å, 2θ 30.47, intensity 100, hkl 0 1 1
4.005 Å, 2θ 22.20, intensity 40, hkl 1 0 -1
2.913 Å, 2θ 30.69, intensity 31, hkl 0 0 2
2.210 Å, 2θ 40.82, intensity 27, hkl 1 0 2
1.856 Å, 2θ 49.08, intensity 25, hkl 2 1 0
2.325 Å, 2θ 38.74, intensity 23, hkl 1 1 1
4.433 Å, 2θ 20.03, intensity 20, hkl 1 0 0
2.135 Å, 2θ 42.34, intensity 18, hkl 1 1 -2

Cell and atoms:
```
data_BePdS
_cell_length_a 4.558
_cell_length_b 3.396
_cell_length_c 5.990
_cell_angle_alpha 90.00
_cell_angle_beta 103.44
_cell_angle_gamma 90.00
_symmetry_space_group_name_H-M 'P 1 m 1'
_symmetry_Int_Tables_number 6
loop_
_symmetry_equiv_pos_as_xyz
'x,y,z'
'x,-y,z'
loop_
_atom_site_label
_atom_site_fract_x
_atom_site_fract_y
_atom_site_fract_z
_atom_site_occupancy
Be1 0.000 0.000 0.000 1
Be2 0.450 0.500 0.830 1
Pd1 0.354 0.500 0.226 1
Pd2 0.658 0.000 0.603 1
S1 0.190 0.000 0.706 1
S2 0.820 0.500 0.125 1
```

(2)
Computed XRD peak list of ScBe2Pd3 for copper Kα, from a PBE-relaxed structure.

The 8 most intense peaks (2θ from 15° to 90°), most intense first:
2.155 Å, 2θ 41.93, intensity 100, hkl 1 0 3
2.860 Å, 2θ 31.27, intensity 85, hkl 1 0 0
2.022 Å, 2θ 44.81, intensity 63, hkl 1 1 0
3.276 Å, 2θ 27.22, intensity 33, hkl 0 0 3
1.192 Å, 2θ 80.63, intensity 28, hkl 2 1 3
2.457 Å, 2θ 36.57, intensity 27, hkl 0 0 4
1.864 Å, 2θ 48.86, intensity 26, hkl 1 0 4
1.562 Å, 2θ 59.17, intensity 26, hkl 1 1 4

Cell and atoms:
```
data_ScBe2Pd3
_cell_length_a 2.860
_cell_length_b 2.860
_cell_length_c 9.829
_cell_angle_alpha 90.00
_cell_angle_beta 90.00
_cell_angle_gamma 90.00
_symmetry_space_group_name_H-M 'P 4/m m m'
_symmetry_Int_Tables_number 123
_symmetry_space_group_name_Hall '-P 4 2'
loop_
_atom_site_label
_atom_site_fract_x
_atom_site_fract_y
_atom_site_fract_z
_atom_site_occupancy
Sc1 0.000 0.000 0.000 1
Be1 0.000 0.000 0.354 1
Pd1 0.500 0.500 0.211 1
Pd2 0.500 0.500 0.500 1
```

(3)
Computed XRD peak list of Sc3Be2Pd5 for copper Kα, from a PBE-relaxed structure.

The 8 most intense peaks (2θ from 15° to 90°), most intense first:
2.266 Å, 2θ 39.78, intensity 100, hkl 3 1 1
2.288 Å, 2θ 39.38, intensity 69, hkl 4 1 0
3.484 Å, 2θ 25.56, intensity 67, hkl 0 0 1
2.687 Å, 2θ 33.35, intensity 58, hkl 2 1 1
2.092 Å, 2θ 43.24, intensity 50, hkl 3 2 1
2.109 Å, 2θ 42.87, intensity 39, hkl 4 2 0
2.616 Å, 2θ 34.27, intensity 34, hkl 3 2 0
1.246 Å, 2θ 76.45, intensity 31, hkl 7 1 1

Cell and atoms:
```
data_Sc3Be2Pd5
_cell_length_a 9.434
_cell_length_b 9.434
_cell_length_c 3.484
_cell_angle_alpha 90.00
_cell_angle_beta 90.00
_cell_angle_gamma 90.00
_symmetry_space_group_name_H-M 'P 4/m b m'
_symmetry_Int_Tables_number 127
_symmetry_space_group_name_Hall '-P 4 2ab'
loop_
_atom_site_label
_atom_site_fract_x
_atom_site_fract_y
_atom_site_fract_z
_atom_site_occupancy
Sc1 0.000 0.000 0.000 1
Sc2 0.175 0.325 0.000 1
Be1 0.121 0.621 0.000 1
Pd1 0.000 0.500 0.500 1
Pd2 0.072 0.785 0.500 1
```

Q: What is the formula in the second record?
A: ScBe2Pd3